Structure and simulated XRD peak list of ScTl3F6 (a GGA-PBE-relaxed structure; CuKα).
Intensities are scaled so that the largest is 100.

Crystal structure
a b c (Å): 6.544 6.544 9.452
angles (deg): 90.00 90.00 90.00
Fractional positions:
Sc (0.000, 0.000, 0.000)
Sc (0.500, 0.500, 0.500)
Tl (0.000, 0.000, 0.500)
Tl (0.000, 0.500, 0.250)
Tl (0.000, 0.500, 0.750)
Tl (0.500, 0.000, 0.250)
Tl (0.500, 0.000, 0.750)
Tl (0.500, 0.500, 0.000)
F (0.000, 0.000, 0.216)
F (0.000, 0.000, 0.784)
F (0.142, 0.278, 0.000)
F (0.222, 0.358, 0.500)
F (0.278, 0.858, 0.000)
F (0.358, 0.778, 0.500)
F (0.500, 0.500, 0.284)
F (0.500, 0.500, 0.716)
F (0.642, 0.222, 0.500)
F (0.722, 0.142, 0.000)
F (0.778, 0.642, 0.500)
F (0.858, 0.722, 0.000)

Most intense lines, 15 to 90 degrees two-theta, by intensity:
3.306 Å, 26.97°, I = 100; 3.272 Å, 27.26°, I = 56; 1.896 Å, 48.00°, I = 47; 2.314 Å, 38.93°, I = 26; 1.916 Å, 47.46°, I = 24; 1.653 Å, 55.59°, I = 18

***

Structure and simulated XRD peak list of CaLaGa3O7 (a GGA-PBE-relaxed structure; CuKα).
Intensities are scaled so that the largest is 100.

Crystal structure
a b c (Å): 8.028 8.028 5.315
angles (deg): 90.00 90.00 91.06
Fractional positions:
Ca (0.160, 0.160, 0.000)
Ca (0.840, 0.840, 0.000)
La (0.336, 0.664, 0.978)
La (0.664, 0.336, 0.978)
Ga (0.000, 0.500, 0.480)
Ga (0.141, 0.859, 0.521)
Ga (0.352, 0.352, 0.452)
Ga (0.500, 0.000, 0.480)
Ga (0.648, 0.648, 0.452)
Ga (0.859, 0.141, 0.521)
O (0.000, 0.000, 0.690)
O (0.092, 0.659, 0.694)
O (0.143, 0.857, 0.180)
O (0.161, 0.411, 0.273)
O (0.341, 0.908, 0.694)
O (0.362, 0.362, 0.794)
O (0.411, 0.161, 0.273)
O (0.500, 0.500, 0.288)
O (0.589, 0.839, 0.273)
O (0.638, 0.638, 0.794)
O (0.659, 0.092, 0.694)
O (0.839, 0.589, 0.273)
O (0.857, 0.143, 0.180)
O (0.908, 0.341, 0.694)

Most intense lines, 15 to 90 degrees two-theta, by intensity:
2.990 Å, 29.88°, I = 100; 2.960 Å, 30.20°, I = 69; 2.523 Å, 35.58°, I = 36; 3.863 Å, 23.03°, I = 34; 3.203 Å, 27.86°, I = 30; 1.841 Å, 49.52°, I = 26

***

Structure and simulated XRD peak list of BaMg2Sn2 (a GGA-PBE-relaxed structure; CuKα).
Intensities are scaled so that the largest is 100.

Crystal structure
a b c (Å): 4.948 4.948 24.488
angles (deg): 90.00 90.00 90.00
Fractional positions:
Ba (0.250, 0.250, 0.120)
Ba (0.250, 0.250, 0.629)
Ba (0.750, 0.750, 0.371)
Ba (0.750, 0.750, 0.880)
Mg (0.250, 0.250, 0.934)
Mg (0.250, 0.750, 0.248)
Mg (0.250, 0.750, 0.500)
Mg (0.250, 0.750, 0.752)
Mg (0.750, 0.250, 0.248)
Mg (0.750, 0.250, 0.500)
Mg (0.750, 0.250, 0.752)
Mg (0.750, 0.750, 0.066)
Sn (0.250, 0.250, 0.315)
Sn (0.250, 0.250, 0.434)
Sn (0.250, 0.250, 0.818)
Sn (0.250, 0.750, 0.000)
Sn (0.750, 0.250, 0.000)
Sn (0.750, 0.750, 0.182)
Sn (0.750, 0.750, 0.566)
Sn (0.750, 0.750, 0.685)

Most intense lines, 15 to 90 degrees two-theta, by intensity:
3.149 Å, 28.35°, I = 100; 3.038 Å, 29.40°, I = 93; 2.474 Å, 36.31°, I = 78; 3.499 Å, 25.46°, I = 59; 2.195 Å, 41.13°, I = 52; 1.945 Å, 46.69°, I = 51